Structure and calculated powder X-ray diffraction pattern of Al5V3 (a DFT-relaxed cell (GGA-PBE, Alexandria); λ = 1.5418 Å (Cu Kα)).

Peak list (10 most intense, 10 to 90 degrees two-theta, low angle first)
index	two_theta	I (rel.)
3 1 0	28.7	17
0 0 2	36.3	15
4 0 0	36.5	30
2 0 2	40.8	65
4 2 0	41.0	29
4 1 1	42.0	100
2 2 2	44.9	18
4 3 1	49.8	18
4 1 3	69.2	21
8 2 0	80.4	17

```
data_Al5V3
_chemical_formula_sum 'Al20 V12'
_cell_length_a 9.8453
_cell_length_b 9.8453
_cell_length_c 4.9514
_cell_angle_alpha 90.00
_cell_angle_beta 90.00
_cell_angle_gamma 90.00
_symmetry_space_group_name_H-M 'I 4/m c m'
_symmetry_Int_Tables_number 140
_symmetry_space_group_name_Hall '-I 4 2c'
loop_
_atom_site_label
_atom_site_type_symbol
_atom_site_fract_x
_atom_site_fract_y
_atom_site_fract_z
_atom_site_occupancy
Al1 Al 0.0000 0.5000 0.2500 1
Al2 Al 0.0626 0.2416 0.0000 1
V1 V 0.0000 0.0000 0.2500 1
V2 V 0.1895 0.3105 0.5000 1
```

---

Structure and calculated powder X-ray diffraction pattern of PmRe3O12 (a DFT-relaxed cell (GGA-PBE, Alexandria); λ = 1.5418 Å (Cu Kα)).

Peak list (10 most intense, 10 to 90 degrees two-theta, low angle first)
index	two_theta	I (rel.)
0 1 2	13.1	39
0 0 6	19.5	28
1 1 3	22.1	100
0 2 4	26.4	12
1 1 6	27.9	34
3 0 0	34.6	26
1 1 9	35.7	25
3 0 6	40.0	14
2 2 3	41.4	12
0 3 12	53.6	10

```
data_PmRe3O12
_chemical_formula_sum 'Pm6 Re18 O72'
_cell_length_a 8.9925
_cell_length_b 8.9925
_cell_length_c 27.2815
_cell_angle_alpha 90.00
_cell_angle_beta 90.00
_cell_angle_gamma 120.00
_symmetry_space_group_name_H-M 'R 3 c'
_symmetry_Int_Tables_number 161
_symmetry_space_group_name_Hall 'R 3 -2"c'
loop_
_atom_site_label
_atom_site_type_symbol
_atom_site_fract_x
_atom_site_fract_y
_atom_site_fract_z
_atom_site_occupancy
Pm1 Pm 0.0000 0.0000 0.0000 1
Re1 Re 0.0376 0.3406 0.0603 1
O1 O 0.1447 0.3399 0.0066 1
O2 O 0.1865 0.4418 0.1089 1
O3 O 0.1876 0.4097 0.3829 1
O4 O 0.2151 0.4459 0.7360 1
```

---

Structure and calculated powder X-ray diffraction pattern of In2Ga5Ag (a DFT-relaxed cell (GGA-PBE, Alexandria); λ = 1.5418 Å (Cu Kα)).

Peak list (10 most intense, 10 to 90 degrees two-theta, low angle first)
index	two_theta	I (rel.)
1 2 1	31.4	77
0 0 3	32.4	39
1 0 2	32.7	55
1 2 -2	33.7	100
1 3 0	35.0	58
1 3 -1	35.7	49
1 0 -3	36.3	37
0 4 0	36.7	32
0 3 3	42.8	55
2 0 -1	43.5	67

```
data_In2Ga5Ag
_chemical_formula_sum 'In4 Ga10 Ag2'
_cell_length_a 4.1866
_cell_length_b 9.7980
_cell_length_c 8.3899
_cell_angle_alpha 90.00
_cell_angle_beta 98.39
_cell_angle_gamma 90.00
_symmetry_space_group_name_H-M 'P 1 21/m 1'
_symmetry_Int_Tables_number 11
_symmetry_space_group_name_Hall '-P 2yb'
loop_
_atom_site_label
_atom_site_type_symbol
_atom_site_fract_x
_atom_site_fract_y
_atom_site_fract_z
_atom_site_occupancy
In1 In 0.0000 0.0000 0.0000 1
In2 In 0.1894 0.2500 0.3564 1
Ga1 Ga 0.2011 0.6097 0.3961 1
Ga2 Ga 0.3385 0.5343 0.7129 1
Ga3 Ga 0.3412 0.2500 0.7736 1
Ag1 Ag 0.4164 0.7500 0.9215 1
```

---

Structure and calculated powder X-ray diffraction pattern of TaCdGaO5 (a DFT-relaxed cell (GGA-PBE, Alexandria); λ = 1.5418 Å (Cu Kα)).

Peak list (10 most intense, 10 to 90 degrees two-theta, low angle first)
index	two_theta	I (rel.)
1 1 0	17.5	26
1 1 -2	25.9	66
2 0 0	29.5	41
1 3 0	32.5	100
2 2 -2	36.2	37
3 1 -2	42.9	16
2 2 2	51.6	13
3 3 0	54.3	17
1 5 -2	55.4	13
1 3 -4	57.8	14

```
data_TaCdGaO5
_chemical_formula_sum 'Ta4 Cd4 Ga4 O20'
_cell_length_a 6.6200
_cell_length_b 9.2806
_cell_length_c 7.5095
_cell_angle_alpha 90.00
_cell_angle_beta 113.89
_cell_angle_gamma 90.00
_symmetry_space_group_name_H-M 'C 1 2/c 1'
_symmetry_Int_Tables_number 15
_symmetry_space_group_name_Hall '-C 2yc'
loop_
_atom_site_label
_atom_site_type_symbol
_atom_site_fract_x
_atom_site_fract_y
_atom_site_fract_z
_atom_site_occupancy
Ta1 Ta 0.0000 0.0000 0.0000 1
Cd1 Cd 0.0000 0.3329 0.2500 1
Ga1 Ga 0.0000 0.3105 0.7500 1
O1 O 0.0000 0.0748 0.2500 1
O2 O 0.1261 0.1926 0.6228 1
O3 O 0.1926 0.4355 0.9283 1
```

---

Structure and calculated powder X-ray diffraction pattern of K2PuRhO6 (a DFT-relaxed cell (GGA-PBE, Alexandria); λ = 1.5418 Å (Cu Kα)).

Peak list (10 most intense, 10 to 90 degrees two-theta, low angle first)
index	two_theta	I (rel.)
1 0 0	16.9	100
0 1 1	23.3	20
1 1 0	29.4	37
2 0 0	34.1	10
1 0 2	36.5	27
2 0 1	37.8	10
1 1 2	44.1	20
2 1 0	45.6	12
0 2 2	47.6	20
2 1 2	56.9	20

```
data_K2PuRhO6
_chemical_formula_sum 'K2 Pu1 Rh1 O6'
_cell_length_a 6.0738
_cell_length_b 6.0738
_cell_length_c 5.5669
_cell_angle_alpha 90.00
_cell_angle_beta 90.00
_cell_angle_gamma 120.00
_symmetry_space_group_name_H-M 'P -3 m 1'
_symmetry_Int_Tables_number 164
_symmetry_space_group_name_Hall '-P 3 2"'
loop_
_atom_site_label
_atom_site_type_symbol
_atom_site_fract_x
_atom_site_fract_y
_atom_site_fract_z
_atom_site_occupancy
K1 K 0.3333 0.6667 0.3628 1
Pu1 Pu 0.0000 0.0000 0.0000 1
Rh1 Rh 0.0000 0.0000 0.5000 1
O1 O 0.1440 0.2880 0.7486 1
```

---

Structure and calculated powder X-ray diffraction pattern of LaSmS (a DFT-relaxed cell (GGA-PBE, Alexandria); λ = 1.5418 Å (Cu Kα)).

Peak list (10 most intense, 10 to 90 degrees two-theta, low angle first)
index	two_theta	I (rel.)
0 1 2	27.2	91
1 1 0	27.5	89
1 0 2	31.6	100
0 2 0	31.8	49
1 2 2	45.5	72
1 1 4	53.4	29
2 1 2	54.0	42
0 2 4	56.1	19
2 2 0	56.8	19
3 0 2	75.5	24

```
data_LaSmS
_chemical_formula_sum 'La2 Sm2 S2'
_cell_length_a 3.9720
_cell_length_b 5.6202
_cell_length_c 8.0820
_cell_angle_alpha 90.00
_cell_angle_beta 90.00
_cell_angle_gamma 90.00
_symmetry_space_group_name_H-M 'P m m n'
_symmetry_Int_Tables_number 59
loop_
_symmetry_equiv_pos_as_xyz
'x,y,z'
'-x,-y,-z'
'-x+1/2,-y+1/2,z'
'x+1/2,y+1/2,-z'
'x+1/2,-y,-z'
'-x+1/2,y,z'
'-x,y+1/2,-z'
'x,-y+1/2,z'
loop_
_atom_site_label
_atom_site_type_symbol
_atom_site_fract_x
_atom_site_fract_y
_atom_site_fract_z
_atom_site_occupancy
La1 La 0.2500 0.2500 0.1212 1
Sm1 Sm 0.2500 0.2500 0.6206 1
S1 S 0.2500 0.7500 0.6197 1
```

---

Structure and calculated powder X-ray diffraction pattern of Cd2AgPt6 (a DFT-relaxed cell (GGA-PBE, Alexandria); λ = 1.5418 Å (Cu Kα)).

Peak list (10 most intense, 10 to 90 degrees two-theta, low angle first)
index	two_theta	I (rel.)
2 2 1	33.9	31
4 0 -2	36.6	74
1 1 3	37.3	68
1 3 0	38.0	59
2 2 -3	40.0	100
2 2 2	40.1	40
3 1 2	41.1	50
1 1 -4	42.3	24
3 3 0	46.4	34
3 5 -3	74.7	24

```
data_Cd2AgPt6
_chemical_formula_sum 'Cd8 Ag4 Pt24'
_cell_length_a 10.2620
_cell_length_b 7.3249
_cell_length_c 8.9604
_cell_angle_alpha 90.00
_cell_angle_beta 106.83
_cell_angle_gamma 90.00
_symmetry_space_group_name_H-M 'C 1 2/c 1'
_symmetry_Int_Tables_number 15
_symmetry_space_group_name_Hall '-C 2yc'
loop_
_atom_site_label
_atom_site_type_symbol
_atom_site_fract_x
_atom_site_fract_y
_atom_site_fract_z
_atom_site_occupancy
Cd1 Cd 0.1081 0.1635 0.0031 1
Ag1 Ag 0.0000 0.4343 0.7500 1
Pt1 Pt 0.1125 0.1766 0.3578 1
Pt2 Pt 0.1407 0.4646 0.5440 1
Pt3 Pt 0.1838 0.1317 0.7104 1
```

---

Structure and calculated powder X-ray diffraction pattern of PmTmCuAu (a DFT-relaxed cell (GGA-PBE, Alexandria); λ = 1.5418 Å (Cu Kα)).

Peak list (10 most intense, 10 to 90 degrees two-theta, low angle first)
index	two_theta	I (rel.)
0 0 2	16.2	19
1 1 1	31.9	100
0 0 4	32.8	27
0 1 3	34.2	27
1 0 4	38.4	25
2 0 0	39.7	95
0 2 0	48.2	18
2 0 4	52.4	20
2 2 0	64.1	17
2 1 7	78.5	16

```
data_PmTmCuAu
_chemical_formula_sum 'Pm2 Tm2 Cu2 Au2'
_cell_length_a 4.5425
_cell_length_b 3.7765
_cell_length_c 10.9325
_cell_angle_alpha 90.00
_cell_angle_beta 90.00
_cell_angle_gamma 90.00
_symmetry_space_group_name_H-M 'A m m 2'
_symmetry_Int_Tables_number 38
_symmetry_space_group_name_Hall 'A 2 -2'
loop_
_atom_site_label
_atom_site_type_symbol
_atom_site_fract_x
_atom_site_fract_y
_atom_site_fract_z
_atom_site_occupancy
Pm1 Pm 0.0000 0.0000 0.0000 1
Tm1 Tm 0.5000 0.0000 0.2793 1
Cu1 Cu 0.5000 0.0000 0.5630 1
Au1 Au 0.0000 0.0000 0.7210 1
```

---

Structure and calculated powder X-ray diffraction pattern of Pr3Nd2Sn (a DFT-relaxed cell (GGA-PBE, Alexandria); λ = 1.5418 Å (Cu Kα)).

Peak list (10 most intense, 10 to 90 degrees two-theta, low angle first)
index	two_theta	I (rel.)
1 3 1	30.5	100
0 6 0	34.2	18
0 0 2	35.8	16
2 0 0	36.1	16
0 6 2	50.3	12
2 6 0	50.5	12
1 9 1	58.9	15
1 3 3	61.1	14
3 3 1	61.5	14
2 6 2	63.5	12

```
data_Pr3Nd2Sn
_chemical_formula_sum 'Pr6 Nd4 Sn2'
_cell_length_a 4.9763
_cell_length_b 15.7520
_cell_length_c 5.0173
_cell_angle_alpha 90.00
_cell_angle_beta 90.00
_cell_angle_gamma 90.00
_symmetry_space_group_name_H-M 'C m m m'
_symmetry_Int_Tables_number 65
_symmetry_space_group_name_Hall '-C 2 2'
loop_
_atom_site_label
_atom_site_type_symbol
_atom_site_fract_x
_atom_site_fract_y
_atom_site_fract_z
_atom_site_occupancy
Pr1 Pr 0.0000 0.0000 0.0000 1
Pr2 Pr 0.0000 0.3385 0.0000 1
Nd1 Nd 0.0000 0.1602 0.5000 1
Sn1 Sn 0.0000 0.5000 0.5000 1
```

---

Structure and calculated powder X-ray diffraction pattern of Ca2BiRh2 (a DFT-relaxed cell (GGA-PBE, Alexandria); λ = 1.5418 Å (Cu Kα)).

Peak list (10 most intense, 10 to 90 degrees two-theta, low angle first)
index	two_theta	I (rel.)
1 1 0	17.9	100
1 1 1	22.2	66
2 0 2	32.1	27
0 2 1	33.3	36
3 1 -2	34.6	33
3 1 1	35.5	34
1 1 -3	36.5	48
4 0 -2	38.0	32
2 2 1	39.3	59
2 2 -3	47.2	35

```
data_Ca2BiRh2
_chemical_formula_sum 'Ca8 Bi4 Rh8'
_cell_length_a 10.1988
_cell_length_b 5.7267
_cell_length_c 8.1836
_cell_angle_alpha 90.00
_cell_angle_beta 103.82
_cell_angle_gamma 90.00
_symmetry_space_group_name_H-M 'C 1 2/c 1'
_symmetry_Int_Tables_number 15
_symmetry_space_group_name_Hall '-C 2yc'
loop_
_atom_site_label
_atom_site_type_symbol
_atom_site_fract_x
_atom_site_fract_y
_atom_site_fract_z
_atom_site_occupancy
Ca1 Ca 0.1483 0.1498 0.1491 1
Bi1 Bi 0.0000 0.3565 0.7500 1
Rh1 Rh 0.1379 0.3591 0.5003 1
```

---

Structure and calculated powder X-ray diffraction pattern of SrLi4Zn4 (a DFT-relaxed cell (GGA-PBE, Alexandria); λ = 1.5418 Å (Cu Kα)).

Peak list (10 most intense, 10 to 90 degrees two-theta, low angle first)
index	two_theta	I (rel.)
2 0 0	20.0	24
2 2 0	28.4	40
2 1 1	29.7	100
1 3 0	31.8	32
3 0 1	36.1	23
0 0 2	39.3	23
2 3 1	41.6	18
1 4 1	46.5	28
2 2 2	49.2	17
4 3 1	55.4	30

```
data_SrLi4Zn4
_chemical_formula_sum 'Sr2 Li8 Zn8'
_cell_length_a 8.8998
_cell_length_b 8.8998
_cell_length_c 4.5816
_cell_angle_alpha 90.00
_cell_angle_beta 90.00
_cell_angle_gamma 90.00
_symmetry_space_group_name_H-M 'I 4/m'
_symmetry_Int_Tables_number 87
_symmetry_space_group_name_Hall '-I 4'
loop_
_atom_site_label
_atom_site_type_symbol
_atom_site_fract_x
_atom_site_fract_y
_atom_site_fract_z
_atom_site_occupancy
Sr1 Sr 0.0000 0.0000 0.0000 1
Li1 Li 0.0968 0.3926 0.0000 1
Zn1 Zn 0.1704 0.2711 0.5000 1
```

---

Structure and calculated powder X-ray diffraction pattern of La7TbPr2 (a DFT-relaxed cell (GGA-PBE, Alexandria); λ = 1.5418 Å (Cu Kα)).

Peak list (10 most intense, 10 to 90 degrees two-theta, low angle first)
index	two_theta	I (rel.)
0 1 0	25.1	12
1 0 -4	29.6	100
3 0 -2	29.9	56
2 0 2	30.8	44
2 1 -1	32.1	16
2 1 -3	36.0	22
0 2 0	51.6	11
1 2 -4	60.6	13
3 2 -2	60.8	13
2 2 2	61.3	17

```
data_La7TbPr2
_chemical_formula_sum 'La7 Tb1 Pr2'
_cell_length_a 9.0552
_cell_length_b 3.5423
_cell_length_c 12.0720
_cell_angle_alpha 90.00
_cell_angle_beta 111.48
_cell_angle_gamma 90.00
_symmetry_space_group_name_H-M 'P 1 2/m 1'
_symmetry_Int_Tables_number 10
_symmetry_space_group_name_Hall '-P 2y'
loop_
_atom_site_label
_atom_site_type_symbol
_atom_site_fract_x
_atom_site_fract_y
_atom_site_fract_z
_atom_site_occupancy
La1 La 0.0000 0.0000 0.0000 1
La2 La 0.1903 0.0000 0.3067 1
La3 La 0.2234 0.0000 0.8108 1
La4 La 0.3913 0.5000 0.1106 1
Tb1 Tb 0.0000 0.5000 0.5000 1
Pr1 Pr 0.3969 0.0000 0.6026 1
```

---

Repeat the fourth record exactly.
Structure and calculated powder X-ray diffraction pattern of TaCdGaO5 (a DFT-relaxed cell (GGA-PBE, Alexandria); λ = 1.5418 Å (Cu Kα)).

Peak list (10 most intense, 10 to 90 degrees two-theta, low angle first)
index	two_theta	I (rel.)
1 1 0	17.5	26
1 1 -2	25.9	66
2 0 0	29.5	41
1 3 0	32.5	100
2 2 -2	36.2	37
3 1 -2	42.9	16
2 2 2	51.6	13
3 3 0	54.3	17
1 5 -2	55.4	13
1 3 -4	57.8	14

```
data_TaCdGaO5
_chemical_formula_sum 'Ta4 Cd4 Ga4 O20'
_cell_length_a 6.6200
_cell_length_b 9.2806
_cell_length_c 7.5095
_cell_angle_alpha 90.00
_cell_angle_beta 113.89
_cell_angle_gamma 90.00
_symmetry_space_group_name_H-M 'C 1 2/c 1'
_symmetry_Int_Tables_number 15
_symmetry_space_group_name_Hall '-C 2yc'
loop_
_atom_site_label
_atom_site_type_symbol
_atom_site_fract_x
_atom_site_fract_y
_atom_site_fract_z
_atom_site_occupancy
Ta1 Ta 0.0000 0.0000 0.0000 1
Cd1 Cd 0.0000 0.3329 0.2500 1
Ga1 Ga 0.0000 0.3105 0.7500 1
O1 O 0.0000 0.0748 0.2500 1
O2 O 0.1261 0.1926 0.6228 1
O3 O 0.1926 0.4355 0.9283 1
```

---

- Number 10 is which compound?
  Ca2BiRh2